Record 1
RbGeBiS4: theoretical powder XRD pattern (Cu Ka), based on the GGA-PBE geometry in the Materials Project.
Neutral-atom scattering factors, no anomalous dispersion.

Lattice parameters (Å, degrees): 6.719 6.959 18.291 90.00 108.21 90.00
Space group P2_1/c (No. 14)
Inequivalent atoms, fractional coordinates:
Rb  0.213  0.243  0.465 (multiplicity 4)
Ge  0.295  0.730  0.841 (multiplicity 4)
Bi  0.261  0.189  0.222 (multiplicity 4)
S  0.083  0.739  0.413 (multiplicity 4)
S  0.090  0.669  0.719 (multiplicity 4)
S  0.486  0.517  0.134 (multiplicity 4)
S  0.499  0.510  0.354 (multiplicity 4)

The 10 most intense peaks (2θ from 10° to 80°), by intensity:
| hkl | 2θ (°) | intensity |
| --- | --- | --- |
| 0 0 2 | 10.2 | 1000 |
| 1 1 4 | 31.1 | 511 |
| 1 1 0 | 18.9 | 466 |
| 0 1 4 | 24.2 | 372 |
| 2 1 -4 | 31.9 | 363 |
| 0 2 0 | 25.6 | 352 |
| 1 1 -4 | 24.5 | 340 |
| 0 1 2 | 16.3 | 321 |
| 2 2 0 | 38.3 | 306 |
| 2 0 -4 | 29.1 | 288 |


Record 2
AcHgRh2: theoretical powder XRD pattern (Cu Ka), based on the GGA-PBE geometry in the Materials Project.
Neutral-atom scattering factors, no anomalous dispersion.

Lattice parameters (Å, degrees): 6.960 6.960 6.960 90.00 90.00 90.00
Space group Fm-3m (No. 225)
Inequivalent atoms, fractional coordinates:
Ac  0.000  0.000  0.000 (multiplicity 4)
Hg  0.000  0.000  0.500 (multiplicity 4)
Rh  0.250  0.250  0.250 (multiplicity 8)

The 7 most intense peaks (2θ from 10° to 80°), by intensity:
| hkl | 2θ (°) | intensity |
| --- | --- | --- |
| 2 2 0 | 36.5 | 1000 |
| 4 2 2 | 65.7 | 363 |
| 4 0 0 | 52.6 | 177 |
| 2 0 0 | 25.6 | 130 |
| 4 4 0 | 77.6 | 114 |
| 4 2 0 | 59.4 | 59 |
| 2 2 2 | 45.1 | 42 |


Record 3
H: theoretical powder XRD pattern (Cu Ka), based on the GGA-PBE geometry in the Materials Project.
Neutral-atom scattering factors, no anomalous dispersion.

Lattice parameters (Å, degrees): 3.381 3.381 4.121 90.00 90.00 90.00
Space group I4/mmm (No. 139)
Inequivalent atoms, fractional coordinates:
H  0.000  0.000  0.091 (multiplicity 4)

The 6 most intense peaks (2θ from 10° to 80°), by intensity:
| hkl | 2θ (°) | intensity |
| --- | --- | --- |
| 1 0 1 | 34.3 | 1000 |
| 1 1 0 | 37.6 | 466 |
| 2 0 0 | 54.3 | 66 |
| 2 1 1 | 65.8 | 56 |
| 0 0 2 | 43.9 | 19 |
| 1 1 2 | 59.2 | 13 |


Record 4
CsKFe4S6: theoretical powder XRD pattern (Cu Ka), based on the GGA-PBE geometry in the Materials Project.
Neutral-atom scattering factors, no anomalous dispersion.

Lattice parameters (Å, degrees): 5.182 9.193 11.468 90.00 90.00 90.00
Space group Amm2 (No. 38)
Inequivalent atoms, fractional coordinates:
Cs  0.000  0.000  0.000 (multiplicity 2)
K  0.500  0.000  0.659 (multiplicity 2)
Fe  0.250  0.138  0.328 (multiplicity 8)
S  0.000  0.000  0.435 (multiplicity 2)
S  0.000  0.227  0.726 (multiplicity 4)
S  0.500  0.000  0.222 (multiplicity 2)
S  0.500  0.236  0.936 (multiplicity 4)

The 10 most intense peaks (2θ from 10° to 80°), by intensity:
| hkl | 2θ (°) | intensity |
| --- | --- | --- |
| 1 2 2 | 30.3 | 1000 |
| 0 1 1 | 12.3 | 719 |
| 0 1 3 | 25.2 | 635 |
| 0 0 2 | 15.5 | 513 |
| 2 0 4 | 47.3 | 278 |
| 2 4 0 | 53.3 | 267 |
| 2 1 1 | 36.9 | 243 |
| 1 1 1 | 21.2 | 242 |
| 0 4 4 | 50.9 | 208 |
| 0 3 1 | 30.2 | 202 |


Record 5
Tm23Se32: theoretical powder XRD pattern (Cu Ka), based on the GGA-PBE geometry in the Materials Project.
Neutral-atom scattering factors, no anomalous dispersion.

Lattice parameters (Å, degrees): 8.039 8.058 22.761 89.90 89.97 89.91
Space group P1 (No. 1)
Inequivalent atoms, fractional coordinates:
Tm  0.000  0.000  0.000 (multiplicity 1)
Tm  0.000  0.005  0.245 (multiplicity 1)
Tm  0.000  0.505  0.245 (multiplicity 1)
Tm  0.001  0.512  0.998 (multiplicity 1)
Tm  0.002  0.009  0.491 (multiplicity 1)
Tm  0.003  0.501  0.493 (multiplicity 1)
Tm  0.008  0.998  0.744 (multiplicity 1)
Tm  0.251  0.256  0.867 (multiplicity 1)
Tm  0.252  0.260  0.623 (multiplicity 1)
Tm  0.252  0.753  0.868 (multiplicity 1)
Tm  0.256  0.263  0.120 (multiplicity 1)
Tm  0.256  0.747  0.371 (multiplicity 1)
Tm  0.492  0.513  0.744 (multiplicity 1)
Tm  0.498  0.014  0.493 (multiplicity 1)
Tm  0.499  0.005  0.245 (multiplicity 1)
Tm  0.499  0.506  0.245 (multiplicity 1)
Tm  0.499  0.994  0.999 (multiplicity 1)
Tm  0.744  0.263  0.121 (multiplicity 1)
Tm  0.744  0.747  0.370 (multiplicity 1)
Tm  0.746  0.754  0.624 (multiplicity 1)
Tm  0.748  0.257  0.866 (multiplicity 1)
Tm  0.748  0.258  0.621 (multiplicity 1)
Tm  0.749  0.754  0.868 (multiplicity 1)
Se  0.000  0.005  0.620 (multiplicity 1)
Se  0.000  0.506  0.369 (multiplicity 1)
Se  0.001  0.015  0.122 (multiplicity 1)
Se  0.246  0.761  0.495 (multiplicity 1)
Se  0.248  0.254  0.247 (multiplicity 1)
Se  0.248  0.755  0.994 (multiplicity 1)
Se  0.248  0.757  0.244 (multiplicity 1)
Se  0.249  0.256  0.497 (multiplicity 1)
Se  0.249  0.756  0.748 (multiplicity 1)
Se  0.250  0.253  0.994 (multiplicity 1)
Se  0.250  0.256  0.745 (multiplicity 1)
Se  0.500  0.001  0.369 (multiplicity 1)
Se  0.500  0.501  0.124 (multiplicity 1)
Se  0.500  0.503  0.871 (multiplicity 1)
Se  0.501  0.006  0.872 (multiplicity 1)
Se  0.501  0.008  0.121 (multiplicity 1)
Se  0.501  0.506  0.620 (multiplicity 1)
Se  0.501  0.508  0.367 (multiplicity 1)
Se  0.502  0.009  0.617 (multiplicity 1)
Se  0.749  0.755  0.746 (multiplicity 1)
Se  0.750  0.758  0.496 (multiplicity 1)
Se  0.751  0.253  0.994 (multiplicity 1)
Se  0.751  0.254  0.247 (multiplicity 1)
Se  0.751  0.254  0.745 (multiplicity 1)
Se  0.751  0.755  0.994 (multiplicity 1)
Se  0.751  0.756  0.244 (multiplicity 1)
Se  0.754  0.254  0.495 (multiplicity 1)
Se  0.997  0.505  0.617 (multiplicity 1)
Se  0.998  0.995  0.368 (multiplicity 1)
Se  0.999  0.006  0.871 (multiplicity 1)
Se  0.999  0.503  0.872 (multiplicity 1)
Se  0.999  0.504  0.121 (multiplicity 1)

The 10 most intense peaks (2θ from 10° to 80°), by intensity:
| hkl | 2θ (°) | intensity |
| --- | --- | --- |
| 2 2 0 | 31.4 | 1000 |
| 2 2 8 | 45.0 | 610 |
| 6 2 0 | 74.6 | 161 |
| 4 0 8 | 56.0 | 128 |
| 0 4 8 | 55.9 | 127 |
| 4 0 0 | 45.1 | 124 |
| 0 1 -2 | 13.5 | 120 |
| 4 4 8 | 74.5 | 108 |
| 4 4 0 | 65.6 | 78 |
| 2 0 4 | 27.1 | 77 |


Record 6
Zr2O: theoretical powder XRD pattern (Cu Ka), based on the GGA-PBE geometry in the Materials Project.
Neutral-atom scattering factors, no anomalous dispersion.

Lattice parameters (Å, degrees): 5.6827 5.6827 10.5254 90.00 90.00 120.00
Space group P312 (No. 149)
Inequivalent atoms, fractional coordinates:
Zr  0.9998  0.3329  0.1262 (multiplicity 6)
Zr  0.0005  0.3420  0.6288 (multiplicity 6)
O  0.0000  0.0000  0.0000 (multiplicity 1)
O  0.3333  0.6667  0.2428 (multiplicity 2)
O  0.3333  0.6667  0.5000 (multiplicity 1)
O  0.6667  0.3333  0.0000 (multiplicity 1)
O  0.6667  0.3333  0.5000 (multiplicity 1)

The 10 most intense peaks (2θ from 10° to 80°), by intensity:
| hkl | 2θ (°) | intensity |
| --- | --- | --- |
| 2 -1 2 | 35.9 | 1000 |
| 0 0 4 | 34.1 | 212 |
| 1 1 4 | 47.1 | 206 |
| 3 0 0 | 56.1 | 204 |
| 2 -1 6 | 62.2 | 191 |
| 3 0 4 | 67.3 | 173 |
| 1 1 0 | 31.5 | 159 |
| 2 2 2 | 68.4 | 142 |
| 4 -2 4 | 76.1 | 44 |
| 0 0 8 | 71.7 | 31 |


Record 7
SiAg6SO8: theoretical powder XRD pattern (Cu Ka), based on the GGA-PBE geometry in the Materials Project.
Neutral-atom scattering factors, no anomalous dispersion.

Lattice parameters (Å, degrees): 7.053 7.053 18.314 90.00 90.00 90.00
Space group I4_1/amd (No. 141, origin choice 2)
Inequivalent atoms, fractional coordinates:
Si  0.000  0.250  0.375 (multiplicity 4)
Ag  0.000  0.250  0.139 (multiplicity 8)
Ag  0.205  0.000  0.500 (multiplicity 16)
S  0.000  0.250  0.875 (multiplicity 4)
O  0.000  0.055  0.324 (multiplicity 16)
O  0.000  0.076  0.922 (multiplicity 16)

The 10 most intense peaks (2θ from 10° to 80°), by intensity:
| hkl | 2θ (°) | intensity |
| --- | --- | --- |
| 2 0 4 | 32.0 | 1000 |
| 2 2 0 | 36.0 | 249 |
| 2 2 8 | 54.4 | 195 |
| 4 2 4 | 62.3 | 167 |
| 4 0 0 | 51.9 | 109 |
| 0 0 8 | 39.4 | 98 |
| 2 1 5 | 37.6 | 82 |
| 2 0 12 | 66.8 | 76 |
| 1 1 2 | 20.3 | 74 |
| 3 1 2 | 41.7 | 69 |


Which formula does entry 1 have? RbGeBiS4